Entry 1:
Structure and theoretical X-ray powder pattern of Zr23S32 (a structure optimized by DFT (GGA-PBE); Cu Ka).

Peak list (10 most intense, 10° ≤ 2θ ≤ 90°, in order of rising 2θ)
hkl  2θ/deg  I_rel
1 0 -1  12.83  14
0 1 -2  14.79  14
1 0 -3  17.64  14
2 0 4  29.90  25
0 0 8  34.57  100
2 2 0  34.73  51
2 -2 8  49.65  33
-2 2 8  49.76  34
4 0 0  49.91  33
0 4 8  62.10  17

abc: 7.307 7.328 20.785
angles: 90.26 90.09 90.17
Space group P1 (No. 1)
One atom of each set of equivalent atoms:
Zr  0.000  0.000  0.000 [1 per cell]
Zr  0.000  0.499  0.999 [1 per cell]
Zr  0.002  0.500  0.749 [1 per cell]
Zr  0.002  0.501  0.249 [1 per cell]
Zr  0.246  0.248  0.624 [1 per cell]
Zr  0.247  0.246  0.123 [1 per cell]
Zr  0.249  0.752  0.373 [1 per cell]
Zr  0.252  0.741  0.872 [1 per cell]
Zr  0.256  0.256  0.872 [1 per cell]
Zr  0.499  0.998  0.250 [1 per cell]
Zr  0.501  0.499  0.251 [1 per cell]
Zr  0.502  0.000  0.999 [1 per cell]
Zr  0.502  0.999  0.498 [1 per cell]
Zr  0.503  0.498  0.497 [1 per cell]
Zr  0.746  0.746  0.872 [1 per cell]
Zr  0.751  0.247  0.375 [1 per cell]
Zr  0.751  0.250  0.123 [1 per cell]
Zr  0.752  0.751  0.624 [1 per cell]
Zr  0.753  0.754  0.123 [1 per cell]
Zr  0.757  0.248  0.625 [1 per cell]
Zr  0.997  0.002  0.498 [1 per cell]
Zr  0.998  0.498  0.499 [1 per cell]
Zr  0.999  0.001  0.746 [1 per cell]
S  0.001  0.500  0.374 [1 per cell]
S  0.001  0.999  0.375 [1 per cell]
S  0.005  0.995  0.125 [1 per cell]
S  0.010  0.510  0.124 [1 per cell]
S  0.012  0.512  0.624 [1 per cell]
S  0.012  0.987  0.624 [1 per cell]
S  0.246  0.245  0.250 [1 per cell]
S  0.246  0.752  0.750 [1 per cell]
S  0.246  0.754  0.246 [1 per cell]
S  0.250  0.750  0.504 [1 per cell]
S  0.252  0.250  0.493 [1 per cell]
S  0.253  0.748  0.000 [1 per cell]
S  0.262  0.260  0.998 [1 per cell]
S  0.263  0.250  0.749 [1 per cell]
S  0.490  0.990  0.124 [1 per cell]
S  0.496  0.996  0.625 [1 per cell]
S  0.497  0.502  0.624 [1 per cell]
S  0.497  0.503  0.124 [1 per cell]
S  0.500  0.501  0.373 [1 per cell]
S  0.500  0.999  0.373 [1 per cell]
S  0.501  0.499  0.874 [1 per cell]
S  0.505  0.002  0.873 [1 per cell]
S  0.739  0.749  0.749 [1 per cell]
S  0.740  0.739  0.998 [1 per cell]
S  0.746  0.254  0.998 [1 per cell]
S  0.749  0.249  0.500 [1 per cell]
S  0.749  0.749  0.493 [1 per cell]
S  0.753  0.249  0.746 [1 per cell]
S  0.755  0.754  0.251 [1 per cell]
S  0.761  0.239  0.249 [1 per cell]
S  0.990  0.488  0.873 [1 per cell]
S  0.994  0.006  0.873 [1 per cell]

Entry 2:
Structure and theoretical X-ray powder pattern of ScSb3 (a structure optimized by DFT (GGA-PBE); Cu Ka).

Peak list (10 most intense, 10° ≤ 2θ ≤ 90°, in order of rising 2θ)
hkl  2θ/deg  I_rel
1 0 1  22.28  18
0 0 2  31.59  32
2 0 0  31.83  23
2 0 1  35.65  100
2 0 2  45.45  17
2 2 0  56.70  16
2 0 3  58.92  22
2 2 2  66.37  20
4 0 1  68.80  13
4 0 3  86.26  7

abc: 6.4934 6.4934 5.6646
angles: 90.00 90.00 120.00
Space group P6_3/mmc (No. 194)
One atom of each set of equivalent atoms:
Sc  0.3333  0.6667  0.2500 [2 per cell]
Sb  0.1763  0.3527  0.7500 [6 per cell]